Theoretical X-ray diffraction stick pattern of Gd5Co2Br3O10 for Cu Ka, from a cell relaxed with PBE+U.
No peak broadening, texture or thermal motion is included.

Peak list (8 most intense, 2θ from 15° to 90°, most intense first)
31.28 deg, intensity 100.0; 29.82 deg, intensity 93.7; 31.98 deg, intensity 46.7; 47.28 deg, intensity 33.2; 33.87 deg, intensity 23.7; 52.10 deg, intensity 19.4; 56.56 deg, intensity 18.5; 24.39 deg, intensity 17.0

Cell and atoms:
Cell: 6.5291 6.5291 10.1755 Å, 94.65 94.65 50.75°
Fractional positions:
Gd: 0.0000 0.0000 0.0000
Gd: 0.3031 0.3031 0.0931
Gd: 0.3916 0.3916 0.7649
Gd: 0.6084 0.6084 0.2351
Gd: 0.6969 0.6969 0.9069
Co: 0.0684 0.0684 0.7040
Co: 0.9316 0.9316 0.2960
Br: 0.1437 0.1437 0.3783
Br: 0.5000 0.5000 0.5000
Br: 0.8563 0.8563 0.6217
O: 0.1032 0.5916 0.9281
O: 0.1975 0.7006 0.1862
O: 0.2087 0.2087 0.6722
O: 0.2994 0.8025 0.8138
O: 0.4084 0.8968 0.0719
O: 0.5916 0.1032 0.9281
O: 0.7006 0.1975 0.1862
O: 0.7913 0.7913 0.3278
O: 0.8025 0.2994 0.8138
O: 0.8968 0.4084 0.0719